Starting from a crystal structure in the Materials Project, relaxed with GGA+U, the XRD peak list of Ba2FeCoClF7 was simulated for Cu Kα X-rays.

Cell and atoms:
Cell: 7.826 5.958 9.075 Å, 90.00 106.75 90.00°
Space group P2_1/m (No. 11)
Asymmetric unit:
Ba  0.165  0.250  0.410 [2 per cell]
Ba  0.195  0.250  0.928 [2 per cell]
Fe  0.330  0.750  0.732 [2 per cell]
Co  0.313  0.750  0.173 [2 per cell]
Cl  0.382  0.750  0.464 [2 per cell]
F  0.126  0.507  0.159 [4 per cell]
F  0.142  0.002  0.655 [4 per cell]
F  0.244  0.750  0.935 [2 per cell]
F  0.489  0.001  0.171 [4 per cell]

Most intense lines, 5 to 70 degrees two-theta, low angle first:
(hkl), 2theta, Rel. int.
0 1 2, 25.4, 100.0
2 1 0, 28.1, 63.5
0 2 0, 30.0, 25.6
1 0 -4, 39.7, 25.6
2 2 -2, 40.5, 38.1
1 2 -4, 50.6, 28.0

***

Starting from a crystal structure in the Materials Project, relaxed with GGA+U, the XRD peak list of Ba6Mn4Co2ClO16 was simulated for Cu Kα X-rays.

Cell and atoms:
Cell: 14.935 5.822 10.080 Å, 90.00 90.00 90.00°
Space group Amm2 (No. 38)
Asymmetric unit:
Ba  0.000  0.000  0.000 [2 per cell]
Ba  0.149  0.000  0.334 [4 per cell]
Ba  0.297  0.000  0.001 [4 per cell]
Ba  0.500  0.000  0.663 [2 per cell]
Mn  0.085  0.000  0.667 [4 per cell]
Mn  0.259  0.000  0.667 [4 per cell]
Co  0.379  0.000  0.334 [4 per cell]
Cl  0.500  0.000  0.004 [2 per cell]
O  0.000  0.000  0.518 [2 per cell]
O  0.000  0.220  0.741 [4 per cell]
O  0.165  0.218  0.594 [8 per cell]
O  0.166  0.000  0.815 [4 per cell]
O  0.328  0.000  0.508 [4 per cell]
O  0.330  0.236  0.747 [8 per cell]
O  0.500  0.000  0.347 [2 per cell]

Most intense lines, 5 to 70 degrees two-theta, low angle first:
(hkl), 2theta, Rel. int.
3 1 1, 25.1, 41.5
4 0 2, 29.8, 50.7
0 2 0, 30.7, 100.0
3 0 4, 40.1, 32.7
4 2 2, 43.3, 25.1
0 3 3, 54.6, 18.6

***

Starting from a crystal structure in the Materials Project, relaxed with GGA+U, the XRD peak list of Ba8Mn6Co2ClO22 was simulated for Cu Kα X-rays.

Cell and atoms:
Cell: 19.898 5.815 10.067 Å, 90.00 90.00 90.00°
Space group Amm2 (No. 38)
Asymmetric unit:
Ba  0.000  0.000  0.000 [2 per cell]
Ba  0.118  0.000  0.667 [4 per cell]
Ba  0.235  0.000  0.000 [4 per cell]
Ba  0.347  0.000  0.667 [4 per cell]
Ba  0.500  0.000  0.337 [2 per cell]
Mn  0.063  0.000  0.333 [4 per cell]
Mn  0.190  0.000  0.333 [4 per cell]
Mn  0.319  0.000  0.334 [4 per cell]
Co  0.410  0.000  0.002 [4 per cell]
Cl  0.500  0.000  0.661 [2 per cell]
O  0.000  0.000  0.482 [2 per cell]
O  0.000  0.223  0.259 [4 per cell]
O  0.124  0.000  0.185 [4 per cell]
O  0.124  0.222  0.408 [8 per cell]
O  0.249  0.000  0.480 [4 per cell]
O  0.249  0.221  0.259 [8 per cell]
O  0.372  0.238  0.413 [8 per cell]
O  0.373  0.000  0.173 [4 per cell]
O  0.500  0.000  0.977 [2 per cell]

Most intense lines, 5 to 70 degrees two-theta, low angle first:
(hkl), 2theta, Rel. int.
4 0 2, 25.2, 51.7
5 1 1, 28.6, 37.7
0 2 0, 30.8, 100.0
4 2 2, 40.1, 39.7
0 3 3, 54.7, 18.6
0 4 0, 64.1, 17.5

***

Starting from a crystal structure in the Materials Project, relaxed with GGA+U, the XRD peak list of Ba5Co5ClO13 was simulated for Cu Kα X-rays.

Cell and atoms:
Cell: 5.7848 5.7848 24.7839 Å, 90.00 90.00 120.00°
Space group P6_3/mmc (No. 194)
Asymmetric unit:
Ba  0.0000  0.0000  0.2500 [2 per cell]
Ba  0.3333  0.6667  0.0400 [4 per cell]
Ba  0.3333  0.6667  0.6268 [4 per cell]
Co  0.0000  0.0000  0.0000 [2 per cell]
Co  0.0000  0.0000  0.1033 [4 per cell]
Co  0.3333  0.6667  0.1767 [4 per cell]
Cl  0.3333  0.6667  0.7500 [2 per cell]
O  0.1485  0.2970  0.5477 [12 per cell]
O  0.1624  0.3249  0.1478 [12 per cell]
O  0.3333  0.6667  0.2500 [2 per cell]

Most intense lines, 5 to 70 degrees two-theta, low angle first:
(hkl), 2theta, Rel. int.
1 0 5, 25.3, 14.4
1 1 0, 30.9, 100.0
2 0 5, 40.3, 14.7
2 0 7, 44.3, 15.6
3 0 0, 55.0, 24.6
2 2 0, 64.4, 11.2

***

Starting from a crystal structure in the Materials Project, relaxed with GGA+U, the XRD peak list of Ba2Co4ClO7 was simulated for Cu Kα X-rays.

Cell and atoms:
Cell: 5.7430 5.7430 46.0198 Å, 90.00 90.00 120.00°
Space group R-3m (No. 166, hexagonal axes)
Asymmetric unit:
Ba  0.0000  0.0000  0.0699 [6 per cell]
Ba  0.0000  0.0000  0.2109 [6 per cell]
Co  0.0000  0.0000  0.0000 [3 per cell]
Co  0.0000  0.0000  0.2802 [6 per cell]
Co  0.0000  0.0000  0.3974 [6 per cell]
Co  0.0000  0.5000  0.0000 [9 per cell]
Cl  0.0000  0.0000  0.1398 [6 per cell]
O  0.0000  0.0000  0.3546 [6 per cell]
O  0.0111  0.5056  0.3555 [18 per cell]
O  0.0270  0.5135  0.9226 [18 per cell]

Most intense lines, 5 to 70 degrees two-theta, low angle first:
(hkl), 2theta, Rel. int.
0 0 3, 5.8, 100.0
0 0 15, 29.1, 16.6
1 1 0, 31.1, 39.0
0 1 14, 32.7, 15.1
1 1 15, 43.2, 16.1
2 0 14, 45.8, 20.5

***

Starting from a crystal structure in the Materials Project, relaxed with GGA+U, the XRD peak list of Ba2CoSe2Cl2O6 was simulated for Cu Kα X-rays.

Cell and atoms:
Cell: 6.885 12.931 5.445 Å, 90.00 90.00 90.00°
Space group Pnnm (No. 58)
Asymmetric unit:
Ba  0.202  0.231  0.000 [4 per cell]
Co  0.000  0.000  0.500 [2 per cell]
Se  0.246  0.427  0.500 [4 per cell]
Cl  0.182  0.603  0.000 [4 per cell]
O  0.088  0.326  0.500 [4 per cell]
O  0.100  0.892  0.242 [8 per cell]

Most intense lines, 5 to 70 degrees two-theta, low angle first:
(hkl), 2theta, Rel. int.
1 1 1, 21.9, 13.2
2 0 0, 25.9, 16.8
1 3 1, 29.4, 100.0
2 1 1, 31.5, 13.1
0 0 2, 32.9, 23.3
1 3 3, 56.6, 14.4

***

Starting from a crystal structure in the Materials Project, relaxed with GGA+U, the XRD peak list of Ba5Cr3ClO12 was simulated for Cu Kα X-rays.

Cell and atoms:
Cell: 10.8741 10.8741 7.9313 Å, 90.00 90.00 120.00°
Space group P6_3/m (No. 176)
Asymmetric unit:
Ba  0.0071  0.2742  0.2500 [6 per cell]
Ba  0.3333  0.6667  0.0008 [4 per cell]
Cr  0.0346  0.4000  0.7500 [6 per cell]
Cl  0.0000  0.0000  0.2500 [2 per cell]
O  0.0898  0.3512  0.5724 [12 per cell]
O  0.1324  0.5853  0.7500 [6 per cell]
O  0.1491  0.6684  0.2500 [6 per cell]

Most intense lines, 5 to 70 degrees two-theta, low angle first:
(hkl), 2theta, Rel. int.
2 1 1, 27.5, 91.0
1 1 2, 27.8, 95.2
3 0 0, 28.4, 100.0
2 2 2, 40.2, 39.6
1 3 2, 41.4, 30.3
2 1 3, 42.6, 29.8

***

Q: Which formula does entry 6 have?
A: Ba2CoSe2Cl2O6